Simulated X-ray powder pattern of Cr3Fe2O8 for copper Kα, from a structure optimized by DFT (GGA+U).
Peak positions follow from Bragg's law for the DFT cell and can differ from measured ones.

The 8 most intense peaks (2θ = 15–90°), low angle first:
d (Å), I_rel
4.876, 74.8
4.214, 32.8
2.544, 100.0
2.531, 34.4
2.107, 64.6
1.622, 24.9
1.494, 34.7
1.485, 34.4

Structure:
```
data_Cr3Fe2O8
_chemical_formula_sum 'Cr9 Fe6 O24'
_cell_length_a 5.9778
_cell_length_b 5.9778
_cell_length_c 14.5103
_cell_angle_alpha 90.00
_cell_angle_beta 90.00
_cell_angle_gamma 120.00
_space_group_name_H-M_alt 'R 3 m'
_space_group_IT_number 160
_space_group_name_Hall 'R 3 -2"'
loop_
_atom_site_label
_atom_site_type_symbol
_atom_site_fract_x
_atom_site_fract_y
_atom_site_fract_z
_atom_site_occupancy
Cr1 Cr 0.0103 0.5051 0.0000 1
Fe1 Fe 0.0000 0.0000 0.4962 1
Fe2 Fe 0.0000 0.0000 0.8725 1
O1 O 0.0000 0.0000 0.2643 1
O2 O 0.0000 0.0000 0.7410 1
O3 O 0.0212 0.5106 0.2512 1
O4 O 0.1893 0.3786 0.0812 1
```